Computed powder diffraction line list of Hf3Cr2Ga6 for Cu Ka, from a PBE-relaxed structure.
Kinematic intensities with the Lorentz-polarization factor, no thermal factor.

Structure:
Cell lengths 5.3173, 8.7397, 7.7256 Å; angles 90.00, 90.00, 90.00 degrees
Fractional coordinates of all 22 atoms:
Hf: 0.2500 0.0299 0.1555
Hf: 0.2500 0.4701 0.1555
Hf: 0.2500 0.7500 0.7144
Hf: 0.7500 0.2500 0.2856
Hf: 0.7500 0.5299 0.8445
Hf: 0.7500 0.9701 0.8445
Cr: 0.0000 0.0000 0.5000
Cr: 0.0000 0.5000 0.5000
Cr: 0.5000 0.0000 0.5000
Cr: 0.5000 0.5000 0.5000
Ga: 0.0104 0.7500 0.0390
Ga: 0.2500 0.0625 0.7668
Ga: 0.2500 0.2500 0.4374
Ga: 0.2500 0.4375 0.7668
Ga: 0.2500 0.7500 0.3658
Ga: 0.4896 0.7500 0.0390
Ga: 0.5104 0.2500 0.9610
Ga: 0.7500 0.2500 0.6342
Ga: 0.7500 0.5625 0.2332
Ga: 0.7500 0.7500 0.5626
Ga: 0.7500 0.9375 0.2332
Ga: 0.9896 0.2500 0.9610

Most intense lines, 2θ from 5° to 70°, most intense first:
2θ/deg, I_rel
41.44, 100
40.67, 74
35.12, 57
41.22, 56
41.32, 49
28.86, 47
35.31, 46
42.42, 45
33.71, 40
38.86, 37
67.05, 28
40.26, 25

Computed powder diffraction line list of SiO2 for Cu Ka, from a PBE-relaxed structure.
Kinematic intensities with the Lorentz-polarization factor, no thermal factor.

Structure:
Cell lengths 2.7013, 2.7013, 15.1366 Å; angles 90.14, 90.14, 60.00 degrees
Fractional coordinates of all 9 atoms:
Si: 0.0000 0.0000 0.0000
Si: 0.6314 0.1836 0.3338
Si: 0.8164 0.3686 0.6662
O: 0.1492 0.7013 0.6061
O: 0.2987 0.8508 0.3939
O: 0.3328 0.3330 0.9396
O: 0.4837 0.0355 0.7269
O: 0.6670 0.6672 0.0604
O: 0.9645 0.5163 0.2731

Most intense lines, 2θ from 5° to 70°, most intense first:
2θ/deg, I_rel
17.58, 100
40.35, 11
42.60, 11
49.26, 11
69.92, 7
53.45, 6
49.15, 5
45.59, 4
53.34, 3
63.26, 3
58.04, 2
68.68, 2

Computed powder diffraction line list of U3Ga2Si3 for Cu Ka, from a PBE-relaxed structure.
Kinematic intensities with the Lorentz-polarization factor, no thermal factor.

Structure:
Cell lengths 7.6489, 7.6489, 7.6489 Å; angles 120.44, 120.44, 89.23 degrees
Fractional coordinates of all 16 atoms:
U: 0.0000 0.0000 0.0000
U: 0.1174 0.6174 0.1887
U: 0.4287 0.9287 0.8113
U: 0.5000 0.5000 0.0000
U: 0.6174 0.4287 0.5000
U: 0.9287 0.1174 0.5000
Ga: 0.2239 0.4395 0.5000
Ga: 0.4395 0.9395 0.2156
Ga: 0.7239 0.2239 0.7844
Ga: 0.9395 0.7239 0.5000
Si: 0.1028 0.6028 0.7922
Si: 0.2501 0.2501 0.0000
Si: 0.3106 0.1028 0.5000
Si: 0.6028 0.8106 0.5000
Si: 0.7501 0.7501 0.0000
Si: 0.8106 0.3106 0.2078

Most intense lines, 2θ from 5° to 70°, most intense first:
2θ/deg, I_rel
36.21, 100
27.50, 74
37.43, 72
23.26, 50
28.65, 42
50.68, 37
32.90, 31
53.93, 30
50.94, 18
33.36, 14
50.23, 14
66.05, 13